This entry pairs a crystal structure of Zr3BeIr2 with its theoretical X-ray powder pattern. Radiation: Cu Kα X-rays. Structure: a crystal structure in Alexandria, relaxed with GGA-PBE.
No peak broadening, texture or thermal motion is included.

abc: 10.941 4.192 9.475
angles: 90.00 90.00 90.00
Space group Pnma (No. 62)
Symmetry-distinct sites (fractional):
Zr  0.054  0.250  0.124
Zr  0.112  0.750  0.579
Zr  0.210  0.250  0.816
Be  0.134  0.250  0.394
Ir  0.028  0.750  0.313
Ir  0.180  0.750  0.004

Top 10 peaks for 15 to 90 degrees two-theta, sorted by position:
| d (Å) | 2theta | intensity | h k l |
| --- | --- | --- | --- |
| 3.833 | 23.20 | 39.4 | 0 1 1 |
| 3.581 | 24.86 | 47.2 | 2 0 2 |
| 3.403 | 26.18 | 47.3 | 3 0 1 |
| 3.327 | 26.79 | 45.2 | 2 1 0 |
| 2.723 | 32.90 | 46.6 | 2 1 2 |
| 2.642 | 33.93 | 43.8 | 3 1 1 |
| 2.458 | 36.56 | 100.0 | 1 1 3 |
| 2.379 | 37.81 | 71.6 | 3 1 2 |
| 2.096 | 43.16 | 76.0 | 0 2 0 |
| 2.062 | 43.90 | 63.2 | 4 1 2 |


This entry pairs a crystal structure of Rb2TlGeI5 with its theoretical X-ray powder pattern. Radiation: Cu Kα X-rays. Structure: a crystal structure in Alexandria, relaxed with GGA-PBE.
No peak broadening, texture or thermal motion is included.

abc: 4.701 21.021 17.181
angles: 90.00 90.00 90.00
Space group Cmc2_1 (No. 36)
Symmetry-distinct sites (fractional):
Rb  0.000  0.079  0.000
Rb  0.000  0.138  0.655
Tl  0.000  0.454  0.807
Ge  0.000  0.232  0.390
I  0.000  0.095  0.435
I  0.000  0.252  0.011
I  0.000  0.290  0.776
I  0.000  0.374  0.342
I  0.000  0.495  0.121

Top 10 peaks for 15 to 90 degrees two-theta, sorted by position:
| d (Å) | 2theta | intensity | h k l |
| --- | --- | --- | --- |
| 4.047 | 21.96 | 76.6 | 1 1 2 |
| 3.581 | 24.87 | 68.9 | 1 1 3 |
| 3.433 | 25.95 | 52.8 | 0 6 1 |
| 3.244 | 27.49 | 33.4 | 0 6 2 |
| 3.135 | 28.47 | 100.0 | 1 1 4 |
| 3.083 | 28.96 | 38.9 | 1 5 1 |
| 2.750 | 32.56 | 57.2 | 1 1 5 |
| 2.428 | 37.02 | 26.2 | 1 7 2 |
| 2.351 | 38.29 | 46.6 | 2 0 0 |
| 2.315 | 38.90 | 64.8 | 1 5 5 |


This entry pairs a crystal structure of Ac8Pm2Nd3 with its theoretical X-ray powder pattern. Radiation: Cu Kα X-rays. Structure: a crystal structure in Alexandria, relaxed with GGA-PBE.
No peak broadening, texture or thermal motion is included.

abc: 6.475 9.697 10.175
angles: 63.17 81.04 77.11
Space group P-1 (No. 2)
Symmetry-distinct sites (fractional):
Ac  0.009  0.368  0.223
Ac  0.016  0.093  0.636
Ac  0.485  0.636  0.289
Ac  0.490  0.076  0.144
Pm  0.464  0.804  0.571
Nd  0.001  0.197  0.955
Nd  0.500  0.500  0.000

Top 10 peaks for 15 to 90 degrees two-theta, sorted by position:
| d (Å) | 2theta | intensity | h k l |
| --- | --- | --- | --- |
| 3.150 | 28.33 | 98.4 | 2 0 0 |
| 3.133 | 28.49 | 100.0 | 1 1 3 |
| 3.098 | 28.81 | 92.8 | 1 2 -1 |
| 3.080 | 28.99 | 92.2 | 0 3 2 |
| 2.822 | 31.70 | 77.2 | 1 -2 1 |
| 2.794 | 32.03 | 77.4 | -1 1 3 |
| 2.511 | 35.76 | 52.6 | 2 3 2 |
| 1.986 | 45.69 | 51.9 | 0 1 -4 |
| 1.693 | 54.19 | 30.6 | 3 -2 1 |
| 1.669 | 55.02 | 43.3 | 0 2 6 |


This entry pairs a crystal structure of Ta2SbBr with its theoretical X-ray powder pattern. Radiation: Cu Kα X-rays. Structure: a crystal structure in Alexandria, relaxed with GGA-PBE.
No peak broadening, texture or thermal motion is included.

abc: 3.425 3.425 8.145
angles: 90.00 90.00 90.00
Space group P4mm (No. 99)
Symmetry-distinct sites (fractional):
Ta  0.000  0.000  0.000
Ta  0.500  0.500  0.178
Sb  0.500  0.500  0.805
Br  0.000  0.000  0.417

Top 10 peaks for 15 to 90 degrees two-theta, sorted by position:
| d (Å) | 2theta | intensity | h k l |
| --- | --- | --- | --- |
| 2.621 | 34.21 | 100.0 | 1 0 2 |
| 2.422 | 37.12 | 63.6 | 1 1 0 |
| 2.322 | 38.79 | 21.2 | 1 1 1 |
| 2.128 | 42.49 | 58.8 | 1 0 3 |
| 1.713 | 53.51 | 22.2 | 2 0 0 |
| 1.676 | 54.77 | 8.0 | 2 0 1 |
| 1.434 | 65.05 | 31.1 | 2 1 2 |
| 1.352 | 69.54 | 16.7 | 1 1 5 |
| 1.334 | 70.60 | 26.3 | 2 1 3 |
| 1.180 | 81.56 | 10.9 | 2 0 5 |


This entry pairs a crystal structure of Ca3Ac5 with its theoretical X-ray powder pattern. Radiation: Cu Kα X-rays. Structure: a crystal structure in Alexandria, relaxed with GGA-PBE.
No peak broadening, texture or thermal motion is included.

abc: 3.999 6.417 13.805
angles: 90.00 90.00 90.00
Space group Pmm2 (No. 25)
Symmetry-distinct sites (fractional):
Ca  0.000  0.000  0.000
Ca  0.000  0.500  0.166
Ca  0.500  0.000  0.248
Ac  0.000  0.000  0.499
Ac  0.000  0.500  0.669
Ac  0.500  0.000  0.747
Ac  0.500  0.500  0.414
Ac  0.500  0.500  0.916

Top 10 peaks for 15 to 90 degrees two-theta, sorted by position:
| d (Å) | 2theta | intensity | h k l |
| --- | --- | --- | --- |
| 3.457 | 25.77 | 24.3 | 0 0 4 |
| 3.296 | 27.06 | 8.6 | 1 1 1 |
| 3.208 | 27.81 | 25.3 | 0 2 0 |
| 3.044 | 29.35 | 100.0 | 1 1 2 |
| 2.352 | 38.27 | 17.5 | 0 2 4 |
| 1.994 | 45.48 | 13.5 | 1 0 6 |
| 1.819 | 50.15 | 23.1 | 1 3 2 |
| 1.694 | 54.15 | 16.8 | 1 2 6 |
| 1.670 | 54.97 | 11.5 | 2 1 4 |
| 1.250 | 76.13 | 9.0 | 2 4 0 |


This entry pairs a crystal structure of AlInOs2 with its theoretical X-ray powder pattern. Radiation: Cu Kα X-rays. Structure: a crystal structure in Alexandria, relaxed with GGA-PBE.
No peak broadening, texture or thermal motion is included.

abc: 8.684 2.941 5.186
angles: 90.00 102.78 90.00
Space group C2/m (No. 12)
Symmetry-distinct sites (fractional):
Al  0.000  0.000  0.000
In  0.000  0.500  0.500
Os  0.235  0.500  0.208

Top 10 peaks for 15 to 90 degrees two-theta, sorted by position:
| d (Å) | 2theta | intensity | h k l |
| --- | --- | --- | --- |
| 4.235 | 20.98 | 44.6 | 2 0 0 |
| 2.942 | 30.38 | 23.9 | 2 0 1 |
| 2.513 | 35.73 | 24.3 | 1 1 -1 |
| 2.419 | 37.16 | 53.9 | 2 0 -2 |
| 2.364 | 38.07 | 100.0 | 1 1 1 |
| 2.117 | 42.71 | 35.9 | 4 0 0 |
| 2.003 | 45.27 | 67.3 | 3 1 -1 |
| 1.986 | 45.68 | 22.2 | 2 0 2 |
| 1.490 | 62.34 | 25.7 | 1 1 -3 |
| 1.208 | 79.34 | 16.8 | 4 2 0 |


This entry pairs a crystal structure of CrPd3Pt12 with its theoretical X-ray powder pattern. Radiation: Cu Kα X-rays. Structure: a crystal structure in Alexandria, relaxed with GGA-PBE.
No peak broadening, texture or thermal motion is included.

abc: 3.941 3.941 15.871
angles: 90.00 90.00 90.00
Space group P4/mmm (No. 123)
Symmetry-distinct sites (fractional):
Cr  0.000  0.000  0.000
Pd  0.000  0.000  0.247
Pd  0.000  0.000  0.500
Pt  0.000  0.500  0.120
Pt  0.000  0.500  0.374
Pt  0.500  0.500  0.000
Pt  0.500  0.500  0.248
Pt  0.500  0.500  0.500

Top 10 peaks for 15 to 90 degrees two-theta, sorted by position:
| d (Å) | 2theta | intensity | h k l |
| --- | --- | --- | --- |
| 3.941 | 22.56 | 4.2 | 1 0 0 |
| 2.796 | 32.01 | 3.6 | 1 0 4 |
| 2.280 | 39.52 | 100.0 | 1 1 4 |
| 1.984 | 45.73 | 16.3 | 0 0 8 |
| 1.970 | 46.06 | 32.6 | 2 0 0 |
| 1.398 | 66.93 | 21.1 | 2 0 8 |
| 1.393 | 67.19 | 10.6 | 2 2 0 |
| 1.195 | 80.36 | 12.4 | 1 1 12 |
| 1.189 | 80.84 | 25.6 | 3 1 4 |
| 1.140 | 85.08 | 11.2 | 2 2 8 |


This entry pairs a crystal structure of CsAg5Te4 with its theoretical X-ray powder pattern. Radiation: Cu Kα X-rays. Structure: a crystal structure in Alexandria, relaxed with GGA-PBE.
No peak broadening, texture or thermal motion is included.

abc: 11.056 4.911 15.581
angles: 90.00 134.51 90.00
Space group P2/c (No. 13)
Symmetry-distinct sites (fractional):
Cs  0.000  0.181  0.250
Ag  0.161  0.154  0.594
Ag  0.476  0.154  0.070
Ag  0.500  0.499  0.750
Te  0.186  0.331  0.017
Te  0.346  0.331  0.831

Top 10 peaks for 15 to 90 degrees two-theta, sorted by position:
| d (Å) | 2theta | intensity | h k l |
| --- | --- | --- | --- |
| 3.503 | 25.42 | 100.0 | 1 0 -4 |
| 3.488 | 25.53 | 89.9 | 2 1 -1 |
| 3.478 | 25.62 | 20.3 | 2 1 -3 |
| 2.863 | 31.24 | 35.0 | 1 1 2 |
| 2.842 | 31.48 | 36.0 | 3 1 -4 |
| 2.494 | 36.01 | 20.4 | 2 0 2 |
| 2.358 | 38.17 | 48.5 | 4 1 -3 |
| 2.203 | 40.97 | 22.3 | 1 2 1 |
| 2.199 | 41.04 | 54.3 | 2 2 -3 |
| 2.013 | 45.02 | 40.5 | 5 1 -5 |


This entry pairs a crystal structure of LiLaSn2Pd with its theoretical X-ray powder pattern. Radiation: Cu Kα X-rays. Structure: a crystal structure in Alexandria, relaxed with GGA-PBE.
No peak broadening, texture or thermal motion is included.

abc: 4.511 4.511 11.484
angles: 90.00 90.00 90.00
Space group I-4m2 (No. 119)
Symmetry-distinct sites (fractional):
Li  0.000  0.000  0.000
La  0.000  0.500  0.250
Sn  0.000  0.500  0.627
Pd  0.000  0.000  0.500

Top 10 peaks for 15 to 90 degrees two-theta, sorted by position:
| d (Å) | 2theta | intensity | h k l |
| --- | --- | --- | --- |
| 4.198 | 21.16 | 29.8 | 1 0 1 |
| 3.189 | 27.98 | 43.4 | 1 1 0 |
| 2.919 | 30.63 | 100.0 | 1 0 3 |
| 2.788 | 32.10 | 56.8 | 1 1 2 |
| 2.255 | 39.98 | 58.2 | 2 0 0 |
| 2.134 | 42.36 | 19.8 | 1 1 4 |
| 2.047 | 44.25 | 40.3 | 1 0 5 |
| 1.785 | 51.19 | 48.1 | 2 1 3 |
| 1.595 | 57.82 | 19.9 | 2 2 0 |
| 1.516 | 61.15 | 31.2 | 2 1 5 |